# 1
# Li2Cr3O6
Simulated X-ray powder pattern, Cu Kα. Input: a DFT-relaxed cell (PBE+U, the Materials Project).
Lines closer than 0.1° are merged.

Main lines, low angle first (2θ from 15° to 90°):
two_theta, intensity
17.91, 100
36.31, 27
36.39, 12
39.68, 15
39.81, 7
44.76, 14
44.88, 14
45.00, 14
58.86, 6
63.07, 17

Structure:
a = 5.106 Å, b = 5.106 Å, c = 10.351 Å
α = 104.57°, β = 104.57°, γ = 60.01°
Sites, in units of the cell vectors:
Li 0.080 0.920 0.500
Li 0.246 0.432 0.001
Li 0.432 0.246 0.501
Li 0.920 0.080 0.000
Cr 0.007 0.181 0.264
Cr 0.181 0.007 0.764
Cr 0.346 0.510 0.264
Cr 0.510 0.346 0.764
Cr 0.673 0.837 0.250
Cr 0.837 0.673 0.750
O 0.046 0.544 0.366
O 0.153 0.286 0.655
O 0.198 0.718 0.866
O 0.286 0.153 0.155
O 0.366 0.896 0.365
O 0.453 0.648 0.654
O 0.544 0.046 0.866
O 0.648 0.453 0.154
O 0.718 0.198 0.366
O 0.815 0.985 0.655
O 0.896 0.366 0.865
O 0.985 0.815 0.155

# 2
# FeSi4O6
Simulated X-ray powder pattern, Cu Kα. Input: a DFT-relaxed cell (PBE+U, the Materials Project).
Lines closer than 0.1° are merged.

Main lines, low angle first (2θ from 15° to 90°):
two_theta, intensity
15.01, 50
19.50, 100
21.82, 23
22.46, 31
22.59, 34
26.41, 19
27.29, 30
32.22, 34
39.62, 20
42.69, 27

Structure:
a = 2.821 Å, b = 4.681 Å, c = 11.992 Å
α = 99.10°, β = 93.76°, γ = 93.79°
Sites, in units of the cell vectors:
Fe 0.000 0.000 0.000
Si 0.377 0.188 0.652
Si 0.438 0.440 0.399
Si 0.439 0.567 0.826
Si 0.758 0.758 0.652
O 0.369 0.127 0.331
O 0.464 0.924 0.882
O 0.520 0.429 0.557
O 0.529 0.036 0.093
O 0.945 0.467 0.890
O 0.961 0.631 0.408

# 3
# MgFe4P4O16
Simulated X-ray powder pattern, Cu Kα. Input: a DFT-relaxed cell (PBE+U, the Materials Project).
Lines closer than 0.1° are merged.

Main lines, low angle first (2θ from 15° to 90°):
two_theta, intensity
19.40, 41
19.98, 39
20.68, 64
21.70, 100
22.26, 21
27.06, 33
30.34, 27
31.30, 23
33.86, 21
36.07, 29

Structure:
a = 5.215 Å, b = 8.570 Å, c = 9.160 Å
α = 89.27°, β = 87.54°, γ = 72.87°
Sites, in units of the cell vectors:
Mg 0.000 0.000 0.000
Fe 0.013 0.603 0.818
Fe 0.505 0.690 0.331
Fe 0.529 0.241 0.860
Fe 0.905 0.092 0.379
P 0.064 0.694 0.490
P 0.073 0.221 0.699
P 0.435 0.625 0.993
P 0.462 0.048 0.186
O 0.011 0.741 0.655
O 0.118 0.843 0.403
O 0.150 0.088 0.170
O 0.173 0.765 0.963
O 0.334 0.561 0.463
O 0.375 0.482 0.905
O 0.378 0.146 0.705
O 0.467 0.575 0.154
O 0.535 0.150 0.305
O 0.580 0.864 0.218
O 0.597 0.078 0.035
O 0.682 0.667 0.928
O 0.826 0.646 0.435
O 0.938 0.146 0.829
O 0.958 0.196 0.556
O 0.994 0.408 0.735

# 4
# Li8Mn15CrO32
Simulated X-ray powder pattern, Cu Kα. Input: a DFT-relaxed cell (PBE+U, the Materials Project).
Lines closer than 0.1° are merged.

Main lines, low angle first (2θ from 15° to 90°):
two_theta, intensity
18.19, 100
18.31, 87
35.05, 22
35.12, 23
35.26, 14
35.90, 14
42.51, 35
42.65, 35
43.73, 32
62.45, 20

Structure:
a = 8.281 Å, b = 8.481 Å, c = 10.345 Å
α = 114.06°, β = 113.16°, γ = 90.54°
Sites, in units of the cell vectors:
Li 0.000 0.000 0.000
Li 0.115 0.126 0.730
Li 0.249 0.745 0.491
Li 0.369 0.879 0.236
Li 0.497 0.498 0.994
Li 0.619 0.629 0.736
Li 0.749 0.247 0.491
Li 0.869 0.377 0.232
Mn 0.060 0.063 0.363
Mn 0.062 0.572 0.871
Mn 0.181 0.432 0.111
Mn 0.182 0.438 0.611
Mn 0.308 0.309 0.361
Mn 0.310 0.815 0.871
Mn 0.429 0.187 0.112
Mn 0.558 0.560 0.358
Mn 0.560 0.070 0.869
Mn 0.685 0.939 0.116
Mn 0.687 0.938 0.614
Mn 0.802 0.800 0.354
Mn 0.808 0.315 0.866
Mn 0.934 0.686 0.116
Mn 0.934 0.692 0.616
Cr 0.435 0.190 0.614
O 0.032 0.796 0.342
O 0.047 0.339 0.874
O 0.077 0.798 0.869
O 0.080 0.309 0.359
O 0.156 0.680 0.097
O 0.181 0.195 0.592
O 0.184 0.689 0.641
O 0.210 0.190 0.134
O 0.296 0.590 0.874
O 0.311 0.089 0.379
O 0.316 0.535 0.348
O 0.325 0.052 0.877
O 0.406 0.406 0.103
O 0.412 0.419 0.593
O 0.439 0.950 0.100
O 0.459 0.961 0.639
O 0.539 0.313 0.342
O 0.553 0.843 0.881
O 0.566 0.293 0.853
O 0.572 0.793 0.357
O 0.652 0.183 0.094
O 0.689 0.185 0.638
O 0.703 0.708 0.615
O 0.709 0.689 0.127
O 0.794 0.578 0.363
O 0.796 0.093 0.875
O 0.807 0.029 0.346
O 0.828 0.557 0.880
O 0.911 0.915 0.586
O 0.929 0.923 0.131
O 0.938 0.447 0.097
O 0.959 0.463 0.640

# 5
# BaNaCeWO6
Simulated X-ray powder pattern, Cu Kα. Input: a DFT-relaxed cell (PBE+U, the Materials Project).
Lines closer than 0.1° are merged.

Main lines, low angle first (2θ from 15° to 90°):
two_theta, intensity
18.02, 16
20.84, 24
29.63, 100
34.90, 9
42.40, 31
47.70, 10
52.58, 41
61.52, 19
69.76, 18
85.16, 22

Structure:
a = 6.029 Å, b = 6.029 Å, c = 6.029 Å
α = 60.00°, β = 60.00°, γ = 60.00°
Sites, in units of the cell vectors:
Ba 0.000 0.000 0.000
Na 0.500 0.500 0.500
Ce 0.750 0.750 0.750
W 0.250 0.250 0.250
O 0.018 0.018 0.482
O 0.018 0.482 0.018
O 0.018 0.482 0.482
O 0.482 0.018 0.018
O 0.482 0.018 0.482
O 0.482 0.482 0.018

# 6
# V3O5
Simulated X-ray powder pattern, Cu Kα. Input: a DFT-relaxed cell (PBE+U, the Materials Project).
Lines closer than 0.1° are merged.

Main lines, low angle first (2θ from 15° to 90°):
two_theta, intensity
18.86, 48
26.56, 71
30.53, 76
33.36, 100
34.48, 44
36.64, 54
51.66, 41
51.94, 55
55.33, 54
63.19, 42

Structure:
a = 5.716 Å, b = 5.716 Å, c = 7.088 Å
α = 109.89°, β = 109.89°, γ = 54.13°
Sites, in units of the cell vectors:
V 0.000 0.000 0.000
V 0.000 0.000 0.500
V 0.368 0.372 0.778
V 0.372 0.368 0.278
V 0.628 0.632 0.722
V 0.632 0.628 0.222
O 0.037 0.351 0.164
O 0.194 0.806 0.250
O 0.269 0.572 0.557
O 0.351 0.037 0.664
O 0.428 0.731 0.943
O 0.572 0.269 0.057
O 0.649 0.963 0.336
O 0.731 0.428 0.443
O 0.806 0.194 0.750
O 0.963 0.649 0.836

# 7
# CaLaFeSnO6
Simulated X-ray powder pattern, Cu Kα. Input: a DFT-relaxed cell (PBE+U, the Materials Project).
Lines closer than 0.1° are merged.

Main lines, low angle first (2θ from 15° to 90°):
two_theta, intensity
19.08, 19
19.39, 20
31.25, 23
31.68, 100
32.01, 23
37.51, 13
45.34, 26
45.48, 15
55.88, 16
56.77, 17

Structure:
a = 5.593 Å, b = 5.725 Å, c = 9.725 Å
α = 90.00°, β = 124.88°, γ = 90.00°
Sites, in units of the cell vectors:
Ca 0.000 0.200 0.000
Ca 0.000 0.800 0.500
La 0.474 0.294 0.499
La 0.474 0.706 0.999
Fe 0.236 0.249 0.751
Fe 0.236 0.751 0.251
Sn 0.735 0.249 0.249
Sn 0.735 0.751 0.749
O 0.082 0.039 0.300
O 0.082 0.961 0.800
O 0.385 0.457 0.199
O 0.385 0.543 0.699
O 0.477 0.044 0.700
O 0.477 0.956 0.200
O 0.581 0.280 0.996
O 0.581 0.720 0.496
O 0.898 0.218 0.503
O 0.898 0.782 0.003
O 0.991 0.452 0.800
O 0.991 0.548 0.300

# 8
# MgTiFe4O8
Simulated X-ray powder pattern, Cu Kα. Input: a DFT-relaxed cell (PBE+U, the Materials Project).
Lines closer than 0.1° are merged.

Main lines, low angle first (2θ from 15° to 90°):
two_theta, intensity
29.40, 43
29.58, 38
34.58, 57
34.75, 80
34.87, 100
42.28, 27
55.70, 26
55.85, 29
61.00, 53
61.40, 36

Structure:
a = 6.040 Å, b = 6.040 Å, c = 6.077 Å
α = 119.82°, β = 119.82°, γ = 59.74°
Sites, in units of the cell vectors:
Mg 0.000 0.000 0.000
Ti 0.000 0.000 0.500
Fe 0.000 0.500 0.000
Fe 0.370 0.370 0.609
Fe 0.500 0.000 0.000
Fe 0.630 0.630 0.391
O 0.229 0.765 0.733
O 0.233 0.233 0.726
O 0.235 0.771 0.267
O 0.242 0.242 0.226
O 0.758 0.758 0.774
O 0.765 0.229 0.733
O 0.767 0.767 0.274
O 0.771 0.235 0.267